LiCo2P3O12: calculated PXRD pattern (Cu Kα, 1.54184 Å), based on a structure optimized by DFT (PBE+U).
No peak broadening, texture or thermal motion is included.

```
LiCo2P3O12
1.0
4.1767 2.4114 6.8399
-4.1767 2.4114 6.8399
0.0000 -4.8228 6.8399
Li Co P O
2 4 6 24
Cartesian
0.0000 0.0000 0.0000 Li
0.0000 0.0000 10.2598 Li
0.0000 0.0000 2.8624 Co
0.0000 0.0000 7.3974 Co
0.0000 0.0000 13.1222 Co
0.0000 0.0000 17.6572 Co
-2.9831 -0.3441 8.5498 P
-1.1935 -2.7555 11.9698 P
1.7896 -2.4114 8.5498 P
-1.7896 2.4114 11.9698 P
1.1935 2.7555 8.5498 P
2.9831 0.3441 11.9698 P
-3.3026 -1.0645 9.8562 O
-3.5915 1.0927 8.4633 O
-2.7421 -2.5639 12.0563 O
-0.7294 -1.4304 6.4363 O
-0.7294 -3.3924 10.6634 O
-1.4346 -0.1525 8.6364 O
0.8494 -3.6567 8.4633 O
-0.8741 1.3469 6.4363 O
-2.5732 2.3279 10.6634 O
-0.5852 -1.3187 11.8832 O
0.8494 -1.1661 8.6364 O
-1.6035 -0.0835 14.0833 O
1.6035 0.0835 6.4363 O
-0.8494 1.1661 11.8832 O
0.5852 1.3187 8.6364 O
2.5732 -2.3279 9.8562 O
0.8741 -1.3469 14.0833 O
-0.8494 3.6567 12.0563 O
1.4346 0.1525 11.8832 O
0.7294 3.3924 9.8562 O
0.7294 1.4304 14.0833 O
2.7421 2.5639 8.4633 O
3.5915 -1.0927 12.0563 O
3.3026 1.0645 10.6633 O
```

Main lines, in order of rising 2θ (2θ from 15° to 90°):
2theta  I_rel
21.25  100
24.98  85
30.23  41
33.05  17
33.88  24
37.28  35
48.69  27
51.25  12
58.37  13
58.46  23